1.
The following is a computed powder XRD pattern of Ba2LaNb5O15. It was derived from a DFT-relaxed cell (PBE, the Materials Project), using Cu Kα X-rays.
Lines closer than 0.1° are merged.

Principal peaks in the range 15 to 90 degrees two-theta, in order of rising 2θ:
Position (°2θ)	Rel. int.
25.19	20
27.03	51
28.87	49
29.69	26
31.34	100
41.29	11
44.82	23
48.39	14
50.61	14
51.13	13
54.20	16
55.79	27

Structural model:
Lattice parameters (Å, degrees): 12.749 12.749 4.045 90.00 90.00 90.00
Atoms (fractional coordinates):
Ba 0.168 0.332 0.000
Ba 0.332 0.832 0.000
Ba 0.668 0.168 0.000
Ba 0.832 0.668 0.000
La 0.000 0.000 0.000
La 0.500 0.500 0.000
Nb 0.000 0.500 0.500
Nb 0.077 0.788 0.500
Nb 0.212 0.077 0.500
Nb 0.288 0.577 0.500
Nb 0.423 0.288 0.500
Nb 0.500 0.000 0.500
Nb 0.577 0.712 0.500
Nb 0.712 0.423 0.500
Nb 0.788 0.923 0.500
Nb 0.923 0.212 0.500
O 0.000 0.500 0.000
O 0.009 0.341 0.500
O 0.063 0.131 0.500
O 0.076 0.800 0.000
O 0.131 0.937 0.500
O 0.159 0.491 0.500
O 0.200 0.076 0.000
O 0.221 0.721 0.500
O 0.279 0.221 0.500
O 0.300 0.576 0.000
O 0.341 0.991 0.500
O 0.369 0.437 0.500
O 0.424 0.300 0.000
O 0.437 0.631 0.500
O 0.491 0.841 0.500
O 0.500 0.000 0.000
O 0.509 0.159 0.500
O 0.563 0.369 0.500
O 0.576 0.700 0.000
O 0.631 0.563 0.500
O 0.659 0.009 0.500
O 0.700 0.424 0.000
O 0.721 0.779 0.500
O 0.779 0.279 0.500
O 0.800 0.924 0.000
O 0.841 0.509 0.500
O 0.869 0.063 0.500
O 0.924 0.200 0.000
O 0.937 0.869 0.500
O 0.991 0.659 0.500

---

2.
The following is a computed powder XRD pattern of NaZr2SN2Cl. It was derived from a DFT-relaxed cell (PBE, the Materials Project), using Cu Kα X-rays.
Lines closer than 0.1° are merged.

Principal peaks in the range 15 to 90 degrees two-theta, in order of rising 2θ:
Position (°2θ)	Rel. int.
26.46	9
28.57	32
31.67	100
34.91	21
35.53	14
41.06	33
49.45	37
50.95	9
59.92	15
62.36	15
68.95	11
81.29	12

Structural model:
Lattice parameters (Å, degrees): 10.328 10.328 10.328 20.56 20.56 20.56
Atoms (fractional coordinates):
Na 0.000 0.000 0.000
Zr 0.201 0.201 0.201
Zr 0.781 0.781 0.781
S 0.391 0.391 0.391
N 0.133 0.133 0.133
N 0.858 0.858 0.858
Cl 0.604 0.604 0.604

---

3.
The following is a computed powder XRD pattern of KGaP2O7. It was derived from a DFT-relaxed cell (PBE, the Materials Project), using Cu Kα X-rays.
Lines closer than 0.1° are merged.

Principal peaks in the range 15 to 90 degrees two-theta, in order of rising 2θ:
Position (°2θ)	Rel. int.
15.28	59
16.66	26
22.40	51
26.13	14
29.63	44
29.79	13
30.19	100
33.73	17
37.34	12
45.72	10
52.58	12
59.39	17

Structural model:
Lattice parameters (Å, degrees): 7.445 9.985 8.297 90.00 106.91 90.00
Atoms (fractional coordinates):
K 0.177 0.179 0.056
K 0.177 0.321 0.556
K 0.823 0.679 0.444
K 0.823 0.821 0.944
Ga 0.238 0.601 0.259
Ga 0.238 0.899 0.759
Ga 0.762 0.101 0.241
Ga 0.762 0.399 0.741
P 0.129 0.597 0.831
P 0.129 0.903 0.331
P 0.438 0.634 0.690
P 0.438 0.866 0.190
P 0.562 0.134 0.810
P 0.562 0.366 0.310
P 0.871 0.097 0.669
P 0.871 0.403 0.169
O 0.008 0.505 0.278
O 0.008 0.995 0.778
O 0.080 0.737 0.752
O 0.080 0.763 0.252
O 0.144 0.592 0.015
O 0.144 0.908 0.515
O 0.320 0.604 0.511
O 0.320 0.896 0.011
O 0.334 0.556 0.811
O 0.334 0.944 0.311
O 0.363 0.076 0.763
O 0.363 0.424 0.263
O 0.452 0.717 0.243
O 0.452 0.783 0.743
O 0.548 0.217 0.257
O 0.548 0.283 0.757
O 0.637 0.576 0.737
O 0.637 0.924 0.237
O 0.666 0.056 0.689
O 0.666 0.444 0.189
O 0.680 0.104 0.989
O 0.680 0.396 0.489
O 0.856 0.092 0.485
O 0.856 0.408 0.985
O 0.920 0.237 0.748
O 0.920 0.263 0.248
O 0.992 0.005 0.222
O 0.992 0.495 0.722